Entry 1:
Diffraction record for BC2. The X-ray diffraction stick pattern is simulated, not measured: it uses a DFT-relaxed cell (GGA-PBE, Alexandria) and Cu Kα, 1.54184 Å.

Top 10 peaks for 2θ from 15° to 90°, most intense first:
| Position (°2θ) | Rel. int. |
| --- | --- |
| 42.1 | 100 |
| 42.6 | 45 |
| 42.7 | 44 |
| 71.0 | 24 |
| 70.8 | 23 |
| 19.0 | 15 |
| 74.6 | 12 |
| 75.9 | 10 |
| 89.8 | 7 |
| 90.0 | 7 |

```
12
Lattice="4.693 0.000 0.000 0.000 2.545 0.000 -0.704 0.000 6.373" Properties=species:S:1:pos:R:3 pbc="T T T"
B 0.000 0.000 0.000
B -0.193 0.000 4.574
B 0.560 1.273 2.452
B 1.718 0.000 0.134
C 0.669 1.273 4.010
C 1.480 0.000 1.779
C 1.912 1.273 6.028
C 2.094 1.273 4.513
C 2.948 0.000 2.433
C 2.876 0.000 4.035
C 3.863 1.273 0.435
C 3.707 1.273 1.953
```

Entry 2:
Diffraction record for PuBr5Cl. The X-ray diffraction stick pattern is simulated, not measured: it uses a DFT-relaxed cell (GGA-PBE, Alexandria) and Cu Kα, 1.54184 Å.

Top 10 peaks for 2θ from 15° to 90°, most intense first:
| Position (°2θ) | Rel. int. |
| --- | --- |
| 19.1 | 100 |
| 18.3 | 85 |
| 29.1 | 58 |
| 29.9 | 56 |
| 35.9 | 55 |
| 38.8 | 52 |
| 45.1 | 42 |
| 32.9 | 40 |
| 35.7 | 34 |
| 49.7 | 31 |

```
14
Lattice="5.320 0.000 0.000 0.000 11.952 0.000 0.000 0.000 9.512" Properties=species:S:1:pos:R:3 pbc="T T T"
Pu 0.000 0.000 0.000
Pu 2.660 5.976 4.756
Br 0.000 0.000 2.679
Br 0.000 2.645 9.477
Br 0.000 9.307 9.477
Br 1.322 0.000 6.792
Br 1.338 5.976 2.036
Br 2.660 3.331 4.721
Br 2.660 5.976 7.435
Br 2.660 8.621 4.721
Br 3.982 5.976 2.036
Br 3.998 0.000 6.792
Cl 0.000 5.976 5.214
Cl 2.660 0.000 0.458
```

Entry 3:
Diffraction record for K5S. The X-ray diffraction stick pattern is simulated, not measured: it uses a DFT-relaxed cell (GGA-PBE, Alexandria) and Cu Kα, 1.54184 Å.

Top 10 peaks for 2θ from 15° to 90°, most intense first:
| Position (°2θ) | Rel. int. |
| --- | --- |
| 22.3 | 100 |
| 22.2 | 90 |
| 24.6 | 81 |
| 27.7 | 65 |
| 16.5 | 45 |
| 31.3 | 43 |
| 17.5 | 41 |
| 41.5 | 41 |
| 28.6 | 40 |
| 32.4 | 34 |

```
12
Lattice="7.091 -4.901 0.000 7.091 4.901 0.000 -4.938 0.000 10.737" Properties=species:S:1:pos:R:3 pbc="T T T"
K 3.388 3.977 8.053
K 0.174 0.549 6.826
K 6.268 1.999 0.445
K 2.643 -0.549 1.457
K 5.446 1.999 4.923
K 3.799 -1.999 5.813
K 6.602 0.549 9.280
K 2.977 -1.999 10.292
K 9.071 -0.549 3.911
K 5.857 -3.977 2.684
S 0.000 0.000 0.000
S -2.469 0.000 5.368
```

Number 1 is which compound?
BC2

Which formula does entry 3 have?
K5S

What did the first record say?
Diffraction record for BC2. The X-ray diffraction stick pattern is simulated, not measured: it uses a DFT-relaxed cell (GGA-PBE, Alexandria) and Cu Kα, 1.54184 Å.

Top 10 peaks for 2θ from 15° to 90°, most intense first:
| Position (°2θ) | Rel. int. |
| --- | --- |
| 42.1 | 100 |
| 42.6 | 45 |
| 42.7 | 44 |
| 71.0 | 24 |
| 70.8 | 23 |
| 19.0 | 15 |
| 74.6 | 12 |
| 75.9 | 10 |
| 89.8 | 7 |
| 90.0 | 7 |

```
12
Lattice="4.693 0.000 0.000 0.000 2.545 0.000 -0.704 0.000 6.373" Properties=species:S:1:pos:R:3 pbc="T T T"
B 0.000 0.000 0.000
B -0.193 0.000 4.574
B 0.560 1.273 2.452
B 1.718 0.000 0.134
C 0.669 1.273 4.010
C 1.480 0.000 1.779
C 1.912 1.273 6.028
C 2.094 1.273 4.513
C 2.948 0.000 2.433
C 2.876 0.000 4.035
C 3.863 1.273 0.435
C 3.707 1.273 1.953
```